1.
Computed powder XRD pattern of AcSmTmZn for Cu Kα (λ = 1.5418 Å), from a DFT-relaxed cell (PBE, Alexandria).

Crystal structure
```
data_AcSmTmZn
_cell_length_a 7.830
_cell_length_b 7.830
_cell_length_c 7.830
_cell_angle_alpha 90.00
_cell_angle_beta 90.00
_cell_angle_gamma 90.00
_symmetry_space_group_name_H-M 'F -4 3 m'
_symmetry_Int_Tables_number 216
_symmetry_space_group_name_Hall 'F -4 2 3'
loop_
_atom_site_label
_atom_site_type_symbol
_atom_site_fract_x
_atom_site_fract_y
_atom_site_fract_z
Ac1 Ac 0.000 0.000 0.000
Sm1 Sm 0.250 0.250 0.250
Tm1 Tm 0.250 0.250 0.750
Zn1 Zn 0.000 0.000 0.500
```

Principal peaks in the range 10 to 80 degrees two-theta, sorted by position:
d [Å]	intensity	h k l
4.521	13	1 1 1
2.768	100	2 2 0
2.361	8	3 1 1
1.957	19	4 0 0
1.796	4	3 3 1
1.598	39	4 2 2
1.507	3	5 1 1
1.384	12	4 4 0
1.323	3	5 3 1
1.238	17	6 2 0


2.
Computed powder XRD pattern of AcSm10Y4 for Cu Kα (λ = 1.5418 Å), from a DFT-relaxed cell (PBE, Alexandria).

Crystal structure
```
data_AcSm10Y4
_cell_length_a 12.815
_cell_length_b 12.815
_cell_length_c 6.853
_cell_angle_alpha 90.00
_cell_angle_beta 90.00
_cell_angle_gamma 90.00
_symmetry_space_group_name_H-M 'I 4/m'
_symmetry_Int_Tables_number 87
_symmetry_space_group_name_Hall '-I 4'
loop_
_atom_site_label
_atom_site_type_symbol
_atom_site_fract_x
_atom_site_fract_y
_atom_site_fract_z
Ac1 Ac 0.000 0.000 0.000
Sm1 Sm 0.000 0.500 0.250
Sm2 Sm 0.129 0.709 0.249
Y1 Y 0.067 0.180 0.500
```

Principal peaks in the range 10 to 80 degrees two-theta, sorted by position:
d [Å]	intensity	h k l
4.396	29	2 1 1
4.052	44	3 1 0
3.205	65	1 1 2
3.155	28	3 2 1
3.021	41	3 3 0
2.866	100	2 4 0
2.617	72	3 1 2
2.513	29	5 1 0
2.266	37	3 3 2
2.026	74	6 2 0
1.470	26	2 4 4
1.415	27	1 9 0


3.
Computed powder XRD pattern of Ac2SmY for Cu Kα (λ = 1.5418 Å), from a DFT-relaxed cell (PBE, Alexandria).

Crystal structure
```
data_Ac2SmY
_cell_length_a 5.453
_cell_length_b 5.453
_cell_length_c 5.179
_cell_angle_alpha 90.00
_cell_angle_beta 90.00
_cell_angle_gamma 90.00
_symmetry_space_group_name_H-M 'P 4/m m m'
_symmetry_Int_Tables_number 123
_symmetry_space_group_name_Hall '-P 4 2'
loop_
_atom_site_label
_atom_site_type_symbol
_atom_site_fract_x
_atom_site_fract_y
_atom_site_fract_z
Ac1 Ac 0.000 0.500 0.000
Sm1 Sm 0.000 0.000 0.500
Y1 Y 0.500 0.500 0.500
```

Principal peaks in the range 10 to 80 degrees two-theta, sorted by position:
d [Å]	intensity	h k l
5.179	7	0 0 1
3.856	7	1 1 0
3.093	100	1 1 1
2.726	36	2 0 0
2.590	16	0 0 2
1.928	13	2 2 0
1.878	24	2 0 2
1.636	32	3 1 1
1.576	14	1 1 3
1.546	13	2 2 2
1.247	6	3 3 1
1.220	18	4 2 0


4.
Computed powder XRD pattern of Ac8Sm5Y for Cu Kα (λ = 1.5418 Å), from a DFT-relaxed cell (PBE, Alexandria).

Crystal structure
```
data_Ac8Sm5Y
_cell_length_a 9.074
_cell_length_b 9.092
_cell_length_c 9.094
_cell_angle_alpha 106.56
_cell_angle_beta 110.86
_cell_angle_gamma 110.81
_symmetry_space_group_name_H-M 'P 1'
_symmetry_Int_Tables_number 1
loop_
_symmetry_equiv_pos_as_xyz
'x,y,z'
loop_
_atom_site_label
_atom_site_type_symbol
_atom_site_fract_x
_atom_site_fract_y
_atom_site_fract_z
Ac1 Ac 0.000 0.000 0.000
Ac2 Ac 0.010 0.405 0.916
Ac3 Ac 0.135 0.213 0.558
Ac4 Ac 0.345 0.559 0.423
Ac5 Ac 0.468 0.040 0.741
Ac6 Ac 0.481 0.136 0.347
Ac7 Ac 0.646 0.819 0.154
Ac8 Ac 0.835 0.641 0.518
Sm1 Sm 0.040 0.749 0.255
Sm2 Sm 0.441 0.352 0.055
Sm3 Sm 0.640 0.505 0.810
Sm4 Sm 0.740 0.977 0.583
Sm5 Sm 0.839 0.303 0.208
Y1 Y 0.241 0.726 0.833
```

Principal peaks in the range 10 to 80 degrees two-theta, sorted by position:
d [Å]	intensity	h k l
4.245	34	2 0 -1
3.419	77	-2 1 2
3.277	76	2 -2 1
3.261	100	2 -1 1
3.030	25	1 1 1
2.854	66	0 2 1
2.845	65	2 -3 0
2.801	32	0 3 -1
2.792	31	3 -2 0
2.766	64	3 -1 0
2.026	25	1 -4 3
1.630	23	4 -2 2


5.
Computed powder XRD pattern of Ac2Sm6Y3 for Cu Kα (λ = 1.5418 Å), from a DFT-relaxed cell (PBE, Alexandria).

Crystal structure
```
data_Ac2Sm6Y3
_cell_length_a 3.6945
_cell_length_b 3.6945
_cell_length_c 98.4834
_cell_angle_alpha 90.00
_cell_angle_beta 90.00
_cell_angle_gamma 120.00
_symmetry_space_group_name_H-M 'R -3 m'
_symmetry_Int_Tables_number 166
_symmetry_space_group_name_Hall '-R 3 2"'
loop_
_atom_site_label
_atom_site_type_symbol
_atom_site_fract_x
_atom_site_fract_y
_atom_site_fract_z
Ac1 Ac 0.0000 0.0000 0.0467
Sm1 Sm 0.0000 0.0000 0.1373
Sm2 Sm 0.0000 0.0000 0.3185
Sm3 Sm 0.0000 0.0000 0.4118
Y1 Y 0.0000 0.0000 0.2255
Y2 Y 0.0000 0.0000 0.5000
```

Principal peaks in the range 10 to 80 degrees two-theta, sorted by position:
d [Å]	intensity	h k l
3.283	4	0 0 30
3.013	100	0 1 11
2.984	30	0 0 33
2.723	5	1 0 19
2.603	65	1 0 22
1.847	25	1 1 0
1.834	20	0 1 44
1.575	15	2 0 11
1.571	27	1 1 33
1.563	11	1 0 55
1.506	12	0 2 22
1.302	7	2 0 44


6.
Computed powder XRD pattern of Ac2Sm12Y5 for Cu Kα (λ = 1.5418 Å), from a DFT-relaxed cell (PBE, Alexandria).

Crystal structure
```
data_Ac2Sm12Y5
_cell_length_a 6.943
_cell_length_b 7.029
_cell_length_c 15.254
_cell_angle_alpha 79.41
_cell_angle_beta 86.68
_cell_angle_gamma 64.22
_symmetry_space_group_name_H-M 'P -1'
_symmetry_Int_Tables_number 2
loop_
_symmetry_equiv_pos_as_xyz
'x,y,z'
'-x,-y,-z'
loop_
_atom_site_label
_atom_site_type_symbol
_atom_site_fract_x
_atom_site_fract_y
_atom_site_fract_z
Ac1 Ac 0.013 0.231 0.040
Sm1 Sm 0.009 0.613 0.391
Sm2 Sm 0.056 0.116 0.418
Sm3 Sm 0.243 0.068 0.822
Sm4 Sm 0.254 0.421 0.190
Sm5 Sm 0.265 0.583 0.750
Sm6 Sm 0.282 0.869 0.253
Y1 Y 0.449 0.919 0.610
Y2 Y 0.496 0.731 0.038
Y3 Y 0.500 0.500 0.500
```

Principal peaks in the range 10 to 80 degrees two-theta, sorted by position:
d [Å]	intensity	h k l
3.163	31	1 -1 2
2.998	30	0 0 5
2.970	49	1 1 -4
2.953	100	2 2 1
2.928	27	2 2 0
2.910	37	2 0 -2
2.882	85	0 2 3
2.859	69	2 0 2
2.838	66	1 1 5
2.712	40	0 2 -2
2.680	33	2 0 -3
1.857	30	-2 2 1


7.
Computed powder XRD pattern of Ac5Sm2Y4 for Cu Kα (λ = 1.5418 Å), from a DFT-relaxed cell (PBE, Alexandria).

Crystal structure
```
data_Ac5Sm2Y4
_cell_length_a 9.541
_cell_length_b 3.833
_cell_length_c 11.777
_cell_angle_alpha 90.00
_cell_angle_beta 94.71
_cell_angle_gamma 90.00
_symmetry_space_group_name_H-M 'P 1 2/m 1'
_symmetry_Int_Tables_number 10
loop_
_symmetry_equiv_pos_as_xyz
'x,y,z'
'-x,-y,-z'
'-x,y,-z'
'x,-y,z'
loop_
_atom_site_label
_atom_site_type_symbol
_atom_site_fract_x
_atom_site_fract_y
_atom_site_fract_z
Ac1 Ac 0.000 0.000 0.000
Ac2 Ac 0.049 0.000 0.327
Ac3 Ac 0.345 0.000 0.858
Sm1 Sm 0.427 0.000 0.368
Y1 Y 0.259 0.500 0.570
Y2 Y 0.307 0.500 0.134
```

Principal peaks in the range 10 to 80 degrees two-theta, sorted by position:
d [Å]	intensity	h k l
3.833	100	0 1 0
3.518	58	1 0 3
3.170	65	3 0 0
3.151	56	2 0 -3
3.125	51	3 0 -1
3.083	80	1 1 -2
3.000	96	1 1 2
2.984	85	2 1 0
2.906	53	2 0 3
2.871	51	1 0 -4
2.857	43	2 1 1
1.917	45	0 2 0


8.
Computed powder XRD pattern of Ac4Sm3Y for Cu Kα (λ = 1.5418 Å), from a DFT-relaxed cell (PBE, Alexandria).

Crystal structure
```
data_Ac4Sm3Y
_cell_length_a 3.698
_cell_length_b 12.090
_cell_length_c 14.072
_cell_angle_alpha 90.00
_cell_angle_beta 90.00
_cell_angle_gamma 90.00
_symmetry_space_group_name_H-M 'I m m m'
_symmetry_Int_Tables_number 71
_symmetry_space_group_name_Hall '-I 2 2'
loop_
_atom_site_label
_atom_site_type_symbol
_atom_site_fract_x
_atom_site_fract_y
_atom_site_fract_z
Ac1 Ac 0.000 0.249 0.131
Sm1 Sm 0.000 0.000 0.268
Sm2 Sm 0.000 0.500 0.500
Y1 Y 0.000 0.500 0.000
```

Principal peaks in the range 10 to 80 degrees two-theta, sorted by position:
d [Å]	intensity	h k l
3.577	20	1 0 1
3.160	33	1 1 2
3.078	52	1 2 1
3.041	100	0 2 4
3.023	52	0 4 0
2.904	20	1 0 3
2.618	38	1 2 3
2.541	18	1 3 2
2.094	16	1 4 3
1.749	20	0 6 4
1.580	30	2 2 4
1.577	16	2 4 0


9.
Computed powder XRD pattern of Ac3SmY3 for Cu Kα (λ = 1.5418 Å), from a DFT-relaxed cell (PBE, Alexandria).

Crystal structure
```
data_Ac3SmY3
_cell_length_a 9.9478
_cell_length_b 9.9478
_cell_length_c 18.4650
_cell_angle_alpha 90.00
_cell_angle_beta 90.00
_cell_angle_gamma 120.00
_symmetry_space_group_name_H-M 'R -3'
_symmetry_Int_Tables_number 148
_symmetry_space_group_name_Hall '-R 3'
loop_
_atom_site_label
_atom_site_type_symbol
_atom_site_fract_x
_atom_site_fract_y
_atom_site_fract_z
Ac1 Ac 0.0419 0.8019 0.4161
Sm1 Sm 0.0000 0.0000 0.2440
Y1 Y 0.0505 0.8172 0.9169
```

Principal peaks in the range 10 to 80 degrees two-theta, sorted by position:
d [Å]	intensity	h k l
7.807	11	1 0 1
4.195	4	0 2 1
3.869	9	2 -1 3
3.072	100	1 2 2
2.661	51	3 -1 4
1.881	37	4 1 0
1.605	33	4 1 6
1.603	12	6 -2 2
1.535	9	2 4 4
1.330	6	6 -2 8
1.222	9	1 2 14
1.220	9	5 3 2


10.
Computed powder XRD pattern of Ac2Sm8Y3 for Cu Kα (λ = 1.5418 Å), from a DFT-relaxed cell (PBE, Alexandria).

Crystal structure
```
data_Ac2Sm8Y3
_cell_length_a 7.809
_cell_length_b 21.846
_cell_length_c 5.617
_cell_angle_alpha 90.00
_cell_angle_beta 90.00
_cell_angle_gamma 90.00
_symmetry_space_group_name_H-M 'C m m m'
_symmetry_Int_Tables_number 65
_symmetry_space_group_name_Hall '-C 2 2'
loop_
_atom_site_label
_atom_site_type_symbol
_atom_site_fract_x
_atom_site_fract_y
_atom_site_fract_z
Ac1 Ac 0.000 0.240 0.000
Sm1 Sm 0.000 0.121 0.500
Sm2 Sm 0.000 0.344 0.500
Sm3 Sm 0.208 0.398 0.000
Y1 Y 0.000 0.000 0.000
Y2 Y 0.211 0.500 0.500
```

Principal peaks in the range 10 to 80 degrees two-theta, sorted by position:
d [Å]	intensity	h k l
3.911	10	2 0 0
3.677	22	2 2 0
3.155	28	1 5 1
3.055	35	0 6 1
2.809	36	0 0 2
2.765	100	2 4 1
2.731	13	0 8 0
2.232	12	2 2 2
1.958	10	0 8 2
1.613	20	2 4 3
1.577	18	2 10 2
1.501	11	3 9 2


11.
Computed powder XRD pattern of Ac5Sm2Y for Cu Kα (λ = 1.5418 Å), from a DFT-relaxed cell (PBE, Alexandria).

Crystal structure
```
data_Ac5Sm2Y
_cell_length_a 7.629
_cell_length_b 15.294
_cell_length_c 5.522
_cell_angle_alpha 90.00
_cell_angle_beta 90.00
_cell_angle_gamma 90.00
_symmetry_space_group_name_H-M 'P b a m'
_symmetry_Int_Tables_number 55
loop_
_symmetry_equiv_pos_as_xyz
'x,y,z'
'-x,-y,-z'
'-x,-y,z'
'x,y,-z'
'x+1/2,-y+1/2,-z'
'-x+1/2,y+1/2,z'
'-x+1/2,y+1/2,-z'
'x+1/2,-y+1/2,z'
loop_
_atom_site_label
_atom_site_type_symbol
_atom_site_fract_x
_atom_site_fract_y
_atom_site_fract_z
Ac1 Ac 0.000 0.000 0.000
Ac2 Ac 0.013 0.254 0.000
Ac3 Ac 0.239 0.621 0.500
Sm1 Sm 0.242 0.876 0.500
Y1 Y 0.000 0.500 0.000
```

Principal peaks in the range 10 to 80 degrees two-theta, sorted by position:
d [Å]	intensity	h k l
3.141	100	0 4 1
2.761	18	0 0 2
2.700	33	2 4 0
1.931	25	2 4 2
1.912	6	0 8 0
1.907	6	4 0 0
1.658	16	0 4 3
1.632	29	2 8 1
1.572	7	0 8 2
1.569	6	4 0 2
1.252	12	2 8 3
1.229	6	2 4 4


12.
Computed powder XRD pattern of Ac5Sm4Y for Cu Kα (λ = 1.5418 Å), from a DFT-relaxed cell (PBE, Alexandria).

Crystal structure
```
data_Ac5Sm4Y
_cell_length_a 4.396
_cell_length_b 4.396
_cell_length_c 20.109
_cell_angle_alpha 90.00
_cell_angle_beta 90.00
_cell_angle_gamma 90.00
_symmetry_space_group_name_H-M 'P 4/m m m'
_symmetry_Int_Tables_number 123
_symmetry_space_group_name_Hall '-P 4 2'
loop_
_atom_site_label
_atom_site_type_symbol
_atom_site_fract_x
_atom_site_fract_y
_atom_site_fract_z
Ac1 Ac 0.000 0.000 0.000
Ac2 Ac 0.000 0.000 0.199
Ac3 Ac 0.000 0.000 0.401
Sm1 Sm 0.500 0.500 0.100
Sm2 Sm 0.500 0.500 0.300
Y1 Y 0.500 0.500 0.500
```

Principal peaks in the range 10 to 80 degrees two-theta, sorted by position:
d [Å]	intensity	h k l
3.108	56	1 1 0
2.967	100	1 0 5
2.198	22	2 0 0
2.011	8	0 0 10
1.766	45	2 1 5
1.688	20	1 1 10
1.554	7	2 2 0
1.484	13	2 0 10
1.390	10	3 1 0
1.377	10	3 0 5
1.282	8	1 0 15
1.230	7	2 2 10